Theoretical X-ray diffraction stick pattern
Compound: RbCa2CoCl8
Radiation: Cu Kα X-rays
Structure: a cell relaxed with PBE
No peak broadening, texture or thermal motion is included.

Peak list (12 most intense, 2θ from 10° to 90°, by angle)
two_theta	intensity
14.33	40
20.02	100
20.60	98
25.15	52
25.28	38
29.30	66
31.96	39
38.26	42
38.49	40
38.97	62
39.10	40
41.93	39

abc: 6.1745 6.2002 8.6155
angles: 89.80 89.68 88.40
Positions (direct):
Rb  0.0000  0.0000  0.0000
Ca  0.4982  0.4989  0.2572
Ca  0.5018  0.5011  0.7428
Co  0.0000  0.0000  0.5000
Cl  0.2147  0.8438  0.6848
Cl  0.2179  0.8475  0.3144
Cl  0.2247  0.2992  0.5008
Cl  0.2659  0.4041  0.0002
Cl  0.7341  0.5959  0.9998
Cl  0.7753  0.7008  0.4992
Cl  0.7821  0.1525  0.6856
Cl  0.7853  0.1562  0.3152

=====

Theoretical X-ray diffraction stick pattern
Compound: BaPdS5
Radiation: Cu Kα X-rays
Structure: a cell relaxed with PBE
No peak broadening, texture or thermal motion is included.

Peak list (12 most intense, 2θ from 10° to 90°, by angle)
two_theta	intensity
18.24	100
22.47	62
23.24	35
27.22	43
28.24	18
28.93	67
30.86	32
33.91	34
37.21	19
38.18	20
41.15	15
47.45	28

abc: 5.0345 5.0345 16.0325
angles: 95.63 95.63 103.23
Positions (direct):
Ba  0.1064  0.8936  0.7500
Ba  0.8936  0.1064  0.2500
Pd  0.0000  0.0000  0.0000
Pd  0.0000  0.0000  0.5000
S  0.2055  0.6727  0.9378
S  0.2569  0.7247  0.0645
S  0.2727  0.7273  0.2500
S  0.2753  0.7431  0.4355
S  0.3273  0.7945  0.5622
S  0.6727  0.2055  0.4378
S  0.7247  0.2569  0.5645
S  0.7273  0.2727  0.7500
S  0.7431  0.2753  0.9355
S  0.7945  0.3273  0.0622